(1)
# Ho3Er3CuRu2
Calculated X-ray diffraction stick pattern, λ = 1.5418 Å (Cu Kα). Input: the PBE geometry in Alexandria.

Principal peaks in the range 10° ≤ 2θ ≤ 90°, in order of rising 2θ:
(hkl)  Position (°2θ)  Rel. int.
1 1 1  31.1  1000
2 0 1  34.4  685
0 0 2  37.8  331
2 1 0  38.2  367
3 0 0  43.5  220
2 1 2  54.8  260

Crystal structure
Cell lengths 7.2024, 7.2024, 4.7627 Å; angles 90.00, 90.00, 120.00 degrees
Space group P-62m (No. 189)
One atom of each set of equivalent atoms:
1 Ho 0.0000 0.7323 0.0000 x3
2 Er 0.0000 0.4146 0.5000 x3
3 Cu 0.0000 0.0000 0.5000 x1
4 Ru 0.3333 0.6667 0.0000 x2

(2)
# Er4TmP5
Calculated X-ray diffraction stick pattern, λ = 1.5418 Å (Cu Kα). Input: the PBE geometry in Alexandria.

Principal peaks in the range 10° ≤ 2θ ≤ 90°, in order of rising 2θ:
(hkl)  Position (°2θ)  Rel. int.
1 2 1  27.6  899
3 1 0  31.9  1000
3 1 2  45.8  730
5 0 1  54.3  436
2 4 2  56.9  255
6 2 2  75.9  329

Crystal structure
Cell lengths 8.8660, 8.8660, 5.6072 Å; angles 90.00, 90.00, 90.00 degrees
Space group I4/m (No. 87)
One atom of each set of equivalent atoms:
1 Er 0.0998 0.7000 0.0000 x8
2 Tm 0.0000 0.0000 0.5000 x2
3 P 0.0000 0.0000 0.0000 x2
4 P 0.0999 0.7007 0.5000 x8

(3)
# TbPr2Nd2Sm
Calculated X-ray diffraction stick pattern, λ = 1.5418 Å (Cu Kα). Input: the PBE geometry in Alexandria.

Principal peaks in the range 10° ≤ 2θ ≤ 90°, in order of rising 2θ:
(hkl)  Position (°2θ)  Rel. int.
0 2 0  30.8  1000
0 1 3  30.9  534
2 2 2  44.2  271
0 3 3  54.9  295
2 1 5  54.9  96
4 2 0  61.0  230

Crystal structure
Cell lengths 7.1336, 5.7979, 10.0129 Å; angles 90.00, 90.00, 90.00 degrees
Space group Pmma (No. 51)
One atom of each set of equivalent atoms:
1 Tb 0.0000 0.0000 0.0000 x2
2 Pr 0.0000 0.5000 0.5000 x2
3 Pr 0.2500 0.0000 0.3269 x2
4 Nd 0.2500 0.0000 0.6659 x2
5 Nd 0.2500 0.5000 0.1668 x2
6 Sm 0.2500 0.5000 0.8378 x2

(4)
# La12ErPb3
Calculated X-ray diffraction stick pattern, λ = 1.5418 Å (Cu Kα). Input: the PBE geometry in Alexandria.

Principal peaks in the range 10° ≤ 2θ ≤ 90°, in order of rising 2θ:
(hkl)  Position (°2θ)  Rel. int.
1 1 4  30.3  1000
0 0 8  34.9  170
2 0 0  35.3  336
2 0 8  50.4  240
1 1 12  59.7  141
3 1 4  60.2  286

Crystal structure
Cell lengths 5.0909, 5.0909, 20.5853 Å; angles 90.00, 90.00, 90.00 degrees
Space group P4/mmm (No. 123)
One atom of each set of equivalent atoms:
1 La 0.0000 0.0000 0.0000 x1
2 La 0.0000 0.0000 0.2467 x2
3 La 0.0000 0.0000 0.5000 x1
4 La 0.0000 0.5000 0.1230 x4
5 La 0.0000 0.5000 0.3714 x4
6 Er 0.5000 0.5000 0.5000 x1
7 Pb 0.5000 0.5000 0.0000 x1
8 Pb 0.5000 0.5000 0.2463 x2

(5)
# LaPm5Mg6
Calculated X-ray diffraction stick pattern, λ = 1.5418 Å (Cu Kα). Input: the PBE geometry in Alexandria.

Principal peaks in the range 10° ≤ 2θ ≤ 90°, in order of rising 2θ:
(hkl)  Position (°2θ)  Rel. int.
1 3 0  22.9  592
2 0 0  32.6  1000
2 0 2  40.2  184
2 6 0  46.8  121
2 6 2  52.7  169
3 3 2  58.2  377

Crystal structure
Cell lengths 5.4851, 16.4546, 7.7747 Å; angles 90.00, 90.00, 90.00 degrees
Space group Cmmm (No. 65)
One atom of each set of equivalent atoms:
1 La 0.0000 0.0000 0.0000 x2
2 Pm 0.0000 0.0000 0.5000 x2
3 Pm 0.0000 0.3327 0.0000 x4
4 Pm 0.0000 0.3349 0.5000 x4
5 Mg 0.0000 0.1684 0.2532 x8
6 Mg 0.0000 0.5000 0.2523 x4

(6)
# CsU2PbO7
Calculated X-ray diffraction stick pattern, λ = 1.5418 Å (Cu Kα). Input: the PBE geometry in Alexandria.

Principal peaks in the range 10° ≤ 2θ ≤ 90°, in order of rising 2θ:
(hkl)  Position (°2θ)  Rel. int.
1 0 2  25.9  1000
1 1 0  29.2  517
1 0 3  31.5  271
2 0 0  41.7  272
2 1 2  49.8  352
2 1 3  53.2  137

Crystal structure
Cell lengths 4.3320, 4.3320, 11.2690 Å; angles 90.00, 90.00, 90.00 degrees
Space group P4/mmm (No. 123)
One atom of each set of equivalent atoms:
1 Cs 0.0000 0.0000 0.0000 x1
2 U 0.5000 0.5000 0.3096 x2
3 Pb 0.0000 0.0000 0.5000 x1
4 O 0.0000 0.5000 0.3352 x4
5 O 0.5000 0.5000 0.1402 x2
6 O 0.5000 0.5000 0.5000 x1

(7)
# PuNpCoS4
Calculated X-ray diffraction stick pattern, λ = 1.5418 Å (Cu Kα). Input: the PBE geometry in Alexandria.

Principal peaks in the range 10° ≤ 2θ ≤ 90°, in order of rising 2θ:
(hkl)  Position (°2θ)  Rel. int.
1 1 0  21.4  1000
2 0 0  29.1  623
0 2 0  31.9  611
1 1 2  35.8  351
0 2 2  40.5  364
2 2 0  43.7  384

Crystal structure
Cell lengths 6.4045, 5.6237, 7.6458 Å; angles 90.00, 106.82, 90.00 degrees
Space group P2_1/m (No. 11)
One atom of each set of equivalent atoms:
1 Pu 0.2363 0.2500 0.4324 x2
2 Np 0.2527 0.2500 0.9413 x2
3 Co 0.2640 0.7500 0.1889 x2
4 S 0.0668 0.7500 0.3809 x2
5 S 0.0775 0.7500 0.9012 x2
6 S 0.4818 0.5122 0.7451 x4

(8)
# AlTe4Se
Calculated X-ray diffraction stick pattern, λ = 1.5418 Å (Cu Kα). Input: the PBE geometry in Alexandria.

Principal peaks in the range 10° ≤ 2θ ≤ 90°, in order of rising 2θ:
(hkl)  Position (°2θ)  Rel. int.
1 1 1  17.2  503
3 1 1  33.3  1000
2 2 2  34.8  690
3 3 3  53.3  343
4 4 0  58.5  333
6 2 2  69.9  265

Crystal structure
Cell lengths 8.9290, 8.9290, 8.9290 Å; angles 90.00, 90.00, 90.00 degrees
Space group F-43m (No. 216)
One atom of each set of equivalent atoms:
1 Al 0.0000 0.0000 0.0000 x4
2 Te 0.1234 0.1234 0.3766 x16
3 Se 0.2500 0.2500 0.7500 x4